LiInAg3: theoretical X-ray diffraction stick pattern (Cu Kα), based on the PBE geometry in Alexandria.
Intensities are scaled so that the largest is 100.

Top 8 peaks for 2θ from 10° to 80°, in order of falling intensity:
Position (°2θ)  d [Å]  I_rel
39.5  2.281  100.0
39.9  2.259  95.0
37.2  2.419  70.9
40.6  2.222  63.8
35.9  2.501  37.8
21.9  4.063  28.7
52.6  1.739  24.0
26.4  3.380  19.6

Cell and atoms:
```
LiInAg3
1.0
5.0030 0.0000 0.0000
0.0000 4.8374 0.0000
-2.3938 0.0000 7.4893
Li In Ag
2 2 6
Direct
0.0892 0.2500 0.2938
0.9108 0.7500 0.7062
0.2830 0.2500 0.7017
0.7170 0.7500 0.2983
0.1172 0.7500 0.1010
0.3150 0.7500 0.5010
0.4817 0.2500 0.1034
0.5183 0.7500 0.8966
0.6850 0.2500 0.4990
0.8828 0.2500 0.8990
```